This entry pairs a crystal structure of Ac6FeIr with its calculated X-ray diffraction stick pattern. Radiation: Cu Kα X-rays. Structure: a cell relaxed with GGA-PBE.
Lines closer than 0.1° are merged.

Structural model:
a = 7.1940 Å, b = 7.1940 Å, c = 13.8949 Å
α = 90.00°, β = 90.00°, γ = 120.00°
Space group P-31c (No. 163)
Symmetry-distinct sites (fractional):
Ac: 0.0046 0.3295 0.1213
Fe: 0.0000 0.0000 0.0000
Ir: 0.3333 0.6667 0.2500

Most intense lines, 10 to 80 degrees two-theta, most intense first:
Position (°2θ), intensity
27.93, 100
35.94, 33
43.58, 29
46.65, 25
52.56, 18
25.64, 18
51.25, 17
70.59, 15
70.71, 13
65.74, 9
15.59, 9
24.75, 8